Li2Ti3MnO8: calculated XRD peak list (Cu Kα X-rays), based on the PBE+U geometry in the Materials Project.
Kinematic intensities with the Lorentz-polarization factor, no thermal factor.

Atomic structure:
a = 8.563 Å, b = 8.563 Å, c = 8.563 Å
α = 90.00°, β = 90.00°, γ = 90.00°
Fractional coordinates of all 56 atoms:
Li: 0.002 0.002 0.002
Li: 0.248 0.248 0.248
Li: 0.252 0.752 0.748
Li: 0.498 0.998 0.502
Li: 0.502 0.498 0.998
Li: 0.748 0.252 0.752
Li: 0.752 0.748 0.252
Li: 0.998 0.502 0.498
Ti: 0.122 0.128 0.625
Ti: 0.125 0.378 0.872
Ti: 0.128 0.625 0.122
Ti: 0.372 0.375 0.622
Ti: 0.375 0.622 0.372
Ti: 0.378 0.872 0.125
Ti: 0.622 0.372 0.375
Ti: 0.625 0.122 0.128
Ti: 0.628 0.875 0.878
Ti: 0.872 0.125 0.378
Ti: 0.875 0.878 0.628
Ti: 0.878 0.628 0.875
Mn: 0.125 0.875 0.375
Mn: 0.375 0.125 0.875
Mn: 0.625 0.625 0.625
Mn: 0.875 0.375 0.125
O: 0.097 0.130 0.393
O: 0.107 0.903 0.630
O: 0.115 0.615 0.885
O: 0.120 0.153 0.857
O: 0.130 0.393 0.097
O: 0.135 0.365 0.635
O: 0.143 0.620 0.347
O: 0.153 0.857 0.120
O: 0.347 0.143 0.620
O: 0.357 0.380 0.847
O: 0.365 0.635 0.135
O: 0.370 0.607 0.597
O: 0.380 0.847 0.357
O: 0.385 0.385 0.385
O: 0.393 0.097 0.130
O: 0.403 0.870 0.893
O: 0.597 0.370 0.607
O: 0.607 0.597 0.370
O: 0.615 0.885 0.115
O: 0.620 0.347 0.143
O: 0.630 0.107 0.903
O: 0.635 0.135 0.365
O: 0.643 0.880 0.653
O: 0.653 0.643 0.880
O: 0.847 0.357 0.380
O: 0.857 0.120 0.153
O: 0.865 0.865 0.865
O: 0.870 0.893 0.403
O: 0.880 0.653 0.643
O: 0.885 0.115 0.615
O: 0.893 0.403 0.870
O: 0.903 0.630 0.107

Peak list (10 most intense, 2θ = 5–70°, most intense first)
2θ 17.9, d 4.944, I = 100
2θ 42.2, d 2.141, I = 58
2θ 34.7, d 2.582, I = 46
2θ 61.2, d 1.514, I = 34
2θ 55.8, d 1.648, I = 20
2θ 64.4, d 1.447, I = 13
2θ 46.2, d 1.964, I = 9
2θ 36.3, d 2.472, I = 7
2θ 37.9, d 2.375, I = 1
2θ 43.6, d 2.077, I = 1

***

NaMnO4: calculated XRD peak list (Cu Kα X-rays), based on the PBE+U geometry in the Materials Project.
Kinematic intensities with the Lorentz-polarization factor, no thermal factor.

Atomic structure:
a = 11.049 Å, b = 5.482 Å, c = 6.439 Å
α = 90.00°, β = 90.00°, γ = 90.00°
Fractional coordinates of all 24 atoms:
Na: 0.197 0.250 0.070
Na: 0.303 0.750 0.570
Na: 0.697 0.250 0.430
Na: 0.803 0.750 0.930
Mn: 0.000 0.000 0.500
Mn: 0.000 0.500 0.500
Mn: 0.500 0.000 0.000
Mn: 0.500 0.500 0.000
O: 0.074 0.250 0.343
O: 0.097 0.128 0.742
O: 0.097 0.372 0.742
O: 0.113 0.750 0.440
O: 0.387 0.250 0.940
O: 0.403 0.628 0.242
O: 0.403 0.872 0.242
O: 0.426 0.750 0.843
O: 0.574 0.250 0.157
O: 0.597 0.128 0.758
O: 0.597 0.372 0.758
O: 0.613 0.750 0.060
O: 0.887 0.250 0.560
O: 0.903 0.628 0.258
O: 0.903 0.872 0.258
O: 0.926 0.750 0.657

Peak list (10 most intense, 2θ = 5–70°, most intense first)
2θ 15.9, d 5.563, I = 100
2θ 16.0, d 5.524, I = 37
2θ 27.9, d 3.197, I = 22
2θ 22.8, d 3.898, I = 22
2θ 36.6, d 2.457, I = 18
2θ 55.3, d 1.662, I = 11
2θ 46.5, d 1.952, I = 11
2θ 43.2, d 2.096, I = 8
2θ 45.3, d 2.000, I = 6
2θ 55.0, d 1.670, I = 6

***

Li4Ti3Co2Sn3O16: calculated XRD peak list (Cu Kα X-rays), based on the PBE+U geometry in the Materials Project.
Kinematic intensities with the Lorentz-polarization factor, no thermal factor.

Atomic structure:
a = 6.139 Å, b = 6.139 Å, c = 9.845 Å
α = 90.77°, β = 90.77°, γ = 59.65°
Fractional coordinates of all 28 atoms:
Li: 0.000 0.000 0.000
Li: 0.004 0.004 0.495
Li: 0.325 0.325 0.384
Li: 0.659 0.659 0.891
Ti: 0.163 0.163 0.716
Ti: 0.331 0.826 0.215
Ti: 0.826 0.331 0.215
Co: 0.329 0.329 0.992
Co: 0.657 0.657 0.492
Sn: 0.163 0.655 0.713
Sn: 0.655 0.163 0.713
Sn: 0.823 0.823 0.211
O: 0.000 0.000 0.817
O: 0.030 0.467 0.833
O: 0.149 0.149 0.112
O: 0.158 0.677 0.101
O: 0.312 0.845 0.604
O: 0.318 0.318 0.596
O: 0.467 0.030 0.833
O: 0.479 0.479 0.835
O: 0.501 0.958 0.330
O: 0.513 0.513 0.325
O: 0.649 0.649 0.101
O: 0.677 0.158 0.101
O: 0.837 0.837 0.594
O: 0.845 0.312 0.604
O: 0.958 0.501 0.330
O: 0.999 0.999 0.313

Peak list (10 most intense, 2θ = 5–70°, most intense first)
2θ 18.0, d 4.922, I = 100
2θ 19.1, d 4.652, I = 71
2θ 35.0, d 2.562, I = 46
2θ 34.6, d 2.592, I = 40
2θ 44.1, d 2.053, I = 37
2θ 60.3, d 1.535, I = 31
2θ 35.2, d 2.553, I = 30
2θ 19.0, d 4.680, I = 26
2θ 43.8, d 2.069, I = 24
2θ 16.7, d 5.320, I = 23

***

KMnSe2O8: calculated XRD peak list (Cu Kα X-rays), based on the PBE+U geometry in the Materials Project.
Kinematic intensities with the Lorentz-polarization factor, no thermal factor.

Atomic structure:
a = 4.941 Å, b = 5.117 Å, c = 8.150 Å
α = 83.25°, β = 85.65°, γ = 67.68°
Fractional coordinates of all 12 atoms:
K: 0.000 0.000 0.000
Mn: 0.000 0.000 0.500
Se: 0.382 0.370 0.297
Se: 0.618 0.630 0.703
O: 0.237 0.234 0.464
O: 0.245 0.778 0.686
O: 0.276 0.717 0.312
O: 0.314 0.306 0.115
O: 0.686 0.694 0.885
O: 0.724 0.283 0.688
O: 0.755 0.222 0.314
O: 0.763 0.766 0.536

Peak list (10 most intense, 2θ = 5–70°, most intense first)
2θ 10.9, d 8.089, I = 100
2θ 22.7, d 3.916, I = 81
2θ 27.7, d 3.226, I = 69
2θ 29.0, d 3.080, I = 65
2θ 25.2, d 3.528, I = 62
2θ 32.0, d 2.798, I = 55
2θ 20.9, d 4.253, I = 46
2θ 22.9, d 3.876, I = 41
2θ 22.0, d 4.038, I = 38
2θ 35.7, d 2.512, I = 33

***

NaPrDyFeO6: calculated XRD peak list (Cu Kα X-rays), based on the PBE+U geometry in the Materials Project.
Kinematic intensities with the Lorentz-polarization factor, no thermal factor.

Atomic structure:
a = 5.684 Å, b = 5.684 Å, c = 5.684 Å
α = 60.00°, β = 60.00°, γ = 60.00°
Fractional coordinates of all 10 atoms:
Na: 0.000 0.000 0.000
Pr: 0.500 0.500 0.500
Dy: 0.750 0.750 0.750
Fe: 0.250 0.250 0.250
O: 0.019 0.019 0.481
O: 0.019 0.481 0.019
O: 0.019 0.481 0.481
O: 0.481 0.019 0.019
O: 0.481 0.019 0.481
O: 0.481 0.481 0.019

Peak list (10 most intense, 2θ = 5–70°, most intense first)
2θ 31.5, d 2.842, I = 100
2θ 56.0, d 1.641, I = 39
2θ 19.1, d 4.641, I = 38
2θ 45.1, d 2.010, I = 33
2θ 37.1, d 2.424, I = 25
2θ 65.7, d 1.421, I = 19
2θ 49.4, d 1.844, I = 13
2θ 59.8, d 1.547, I = 8
2θ 22.1, d 4.019, I = 8
2θ 69.1, d 1.359, I = 8

***

Repeat the third record exactly.
Li4Ti3Co2Sn3O16: calculated XRD peak list (Cu Kα X-rays), based on the PBE+U geometry in the Materials Project.
Kinematic intensities with the Lorentz-polarization factor, no thermal factor.

Atomic structure:
a = 6.139 Å, b = 6.139 Å, c = 9.845 Å
α = 90.77°, β = 90.77°, γ = 59.65°
Fractional coordinates of all 28 atoms:
Li: 0.000 0.000 0.000
Li: 0.004 0.004 0.495
Li: 0.325 0.325 0.384
Li: 0.659 0.659 0.891
Ti: 0.163 0.163 0.716
Ti: 0.331 0.826 0.215
Ti: 0.826 0.331 0.215
Co: 0.329 0.329 0.992
Co: 0.657 0.657 0.492
Sn: 0.163 0.655 0.713
Sn: 0.655 0.163 0.713
Sn: 0.823 0.823 0.211
O: 0.000 0.000 0.817
O: 0.030 0.467 0.833
O: 0.149 0.149 0.112
O: 0.158 0.677 0.101
O: 0.312 0.845 0.604
O: 0.318 0.318 0.596
O: 0.467 0.030 0.833
O: 0.479 0.479 0.835
O: 0.501 0.958 0.330
O: 0.513 0.513 0.325
O: 0.649 0.649 0.101
O: 0.677 0.158 0.101
O: 0.837 0.837 0.594
O: 0.845 0.312 0.604
O: 0.958 0.501 0.330
O: 0.999 0.999 0.313

Peak list (10 most intense, 2θ = 5–70°, most intense first)
2θ 18.0, d 4.922, I = 100
2θ 19.1, d 4.652, I = 71
2θ 35.0, d 2.562, I = 46
2θ 34.6, d 2.592, I = 40
2θ 44.1, d 2.053, I = 37
2θ 60.3, d 1.535, I = 31
2θ 35.2, d 2.553, I = 30
2θ 19.0, d 4.680, I = 26
2θ 43.8, d 2.069, I = 24
2θ 16.7, d 5.320, I = 23

***

Please write out number 4 again, unchanged.
KMnSe2O8: calculated XRD peak list (Cu Kα X-rays), based on the PBE+U geometry in the Materials Project.
Kinematic intensities with the Lorentz-polarization factor, no thermal factor.

Atomic structure:
a = 4.941 Å, b = 5.117 Å, c = 8.150 Å
α = 83.25°, β = 85.65°, γ = 67.68°
Fractional coordinates of all 12 atoms:
K: 0.000 0.000 0.000
Mn: 0.000 0.000 0.500
Se: 0.382 0.370 0.297
Se: 0.618 0.630 0.703
O: 0.237 0.234 0.464
O: 0.245 0.778 0.686
O: 0.276 0.717 0.312
O: 0.314 0.306 0.115
O: 0.686 0.694 0.885
O: 0.724 0.283 0.688
O: 0.755 0.222 0.314
O: 0.763 0.766 0.536

Peak list (10 most intense, 2θ = 5–70°, most intense first)
2θ 10.9, d 8.089, I = 100
2θ 22.7, d 3.916, I = 81
2θ 27.7, d 3.226, I = 69
2θ 29.0, d 3.080, I = 65
2θ 25.2, d 3.528, I = 62
2θ 32.0, d 2.798, I = 55
2θ 20.9, d 4.253, I = 46
2θ 22.9, d 3.876, I = 41
2θ 22.0, d 4.038, I = 38
2θ 35.7, d 2.512, I = 33